Record 1
Diffraction record for CsRbCuI3. The X-ray diffraction stick pattern is calculated, not measured: it uses a structure optimized by DFT (GGA-PBE) and Cu Kα, 1.54184 Å.
Kinematic intensities with the Lorentz-polarization factor, no thermal factor.

Structural model:
```
data_CsRbCuI3
_chemical_formula_sum 'Cs4 Rb4 Cu4 I12'
_space_group_name_H-M_alt 'C 1 2/m 1'
_space_group_IT_number 12
_cell_length_a 18.6680
_cell_length_b 6.2605
_cell_length_c 10.3884
_cell_angle_alpha 90.00
_cell_angle_beta 105.98
_cell_angle_gamma 90.00
loop_
_space_group_symop_operation_xyz
'x,y,z'
'-x,-y,-z'
'-x,y,-z'
'x,-y,z'
'x+1/2,y+1/2,z'
'-x+1/2,-y+1/2,-z'
'-x+1/2,y+1/2,-z'
'x+1/2,-y+1/2,z'
loop_
_atom_site_label
_atom_site_fract_x
_atom_site_fract_y
_atom_site_fract_z
Cs1 0.1438 0.0000 0.0712
Rb1 0.1435 0.0000 0.5711
Cu1 0.0023 0.5000 0.2605
I1 0.0009 0.0000 0.2609
I2 0.1402 0.5000 0.8110
I3 0.1449 0.5000 0.3297
```

Main lines, sorted by position (10 to 90 degrees two-theta):
d_spacing  intensity  hkl
4.989  469  0 0 2
3.997  1000  1 1 -2
3.130  696  0 2 0
2.989  965  6 0 0
2.981  622  5 1 -2
2.597  402  2 0 -4


Record 2
Diffraction record for YHo2Te2. The X-ray diffraction stick pattern is calculated, not measured: it uses a structure optimized by DFT (GGA-PBE) and Cu Kα, 1.54184 Å.
Kinematic intensities with the Lorentz-polarization factor, no thermal factor.

Structural model:
```
data_YHo2Te2
_chemical_formula_sum 'Y4 Ho8 Te8'
_space_group_name_H-M_alt 'C 1 2/m 1'
_space_group_IT_number 12
_cell_length_a 13.2719
_cell_length_b 5.9523
_cell_length_c 8.3152
_cell_angle_alpha 90.00
_cell_angle_beta 111.16
_cell_angle_gamma 90.00
loop_
_space_group_symop_operation_xyz
'x,y,z'
'-x,-y,-z'
'-x,y,-z'
'x,-y,z'
'x+1/2,y+1/2,z'
'-x+1/2,-y+1/2,-z'
'-x+1/2,y+1/2,-z'
'x+1/2,-y+1/2,z'
loop_
_atom_site_label
_atom_site_fract_x
_atom_site_fract_y
_atom_site_fract_z
Y1 0.1776 0.0000 0.0671
Ho1 0.0358 0.5000 0.8016
Ho2 0.1897 0.0000 0.6536
Te1 0.0203 0.0000 0.2688
Te2 0.1592 0.5000 0.5533
```

Main lines, sorted by position (10 to 90 degrees two-theta):
d_spacing  intensity  hkl
3.004  936  4 0 -2
2.976  1000  0 2 0
2.855  406  2 0 2
2.815  516  3 1 1
2.114  693  4 2 -2
2.061  467  2 2 2